Computed powder X-ray diffraction pattern
Compound: Hg4PAuBr2
Radiation: Cu Kα, 1.54184 Å
Structure: a cell relaxed with PBE
Peak positions follow from Bragg's law for the DFT cell and can differ from measured ones.

Atomic structure:
```
data_Hg4PAuBr2
_symmetry_space_group_name_H-M 'I m m a'
_symmetry_Int_Tables_number 74
_symmetry_space_group_name_Hall '-I 2b 2'
_cell_length_a 8.039
_cell_length_b 8.172
_cell_length_c 12.923
_cell_angle_alpha 90.00
_cell_angle_beta 90.00
_cell_angle_gamma 90.00
loop_
_atom_site_label
_atom_site_type_symbol
_atom_site_fract_x
_atom_site_fract_y
_atom_site_fract_z
Hg1 Hg 0.000 0.018 0.210
Hg2 Hg 0.224 0.250 0.012
P1 P 0.000 0.000 0.000
Au1 Au 0.250 0.250 0.250
Br1 Br 0.000 0.000 0.500
Br2 Br 0.250 0.250 0.750
```

Main lines, in order of rising 2θ (2θ from 10° to 90°):
2θ/deg  d_spacing  intensity
12.8  6.907  20
25.8  3.454  14
26.1  3.413  12
27.6  3.231  49
31.2  2.865  100
32.2  2.781  20
36.5  2.462  11
42.2  2.144  61
44.3  2.043  19
45.1  2.010  17
53.0  1.727  16
53.7  1.706  13